# Y6Si7Ni16
Calculated powder X-ray diffraction pattern, Cu Ka. Input: DFT lattice parameters and positions (GGA-PBE).
Lines closer than 0.1° are merged.

Most intense lines, 2θ = 10–80°, by intensity:
d/Å  2theta  intensity  hkl
2.076  43.6  100  4 4 0
2.260  39.9  91  3 3 3
3.391  26.3  26  2 2 2
2.398  37.5  22  4 2 2
1.985  45.7  21  5 3 1
1.384  67.7  18  6 6 0
1.958  46.4  17  6 0 0
1.791  51.0  15  5 3 3
1.356  69.3  12  5 5 5
1.231  77.5  11  9 3 1

Atomic structure:
Cell lengths 11.7458, 11.7458, 11.7458 Å; angles 90.00, 90.00, 90.00 degrees
Space group Fm-3m (No. 225)
Asymmetric unit:
Y: 0.0000 0.0000 0.2102 [24 per cell]
Si: 0.0000 0.0000 0.5000 [4 per cell]
Si: 0.0000 0.2500 0.2500 [24 per cell]
Ni: 0.1207 0.1207 0.3793 [32 per cell]
Ni: 0.1723 0.1723 0.1723 [32 per cell]